1.
The following is a computed PXRD pattern of SmSiRu. It was derived from a crystal structure in the Materials Project, relaxed with PBE, using Cu Kα (weighted mean of Kα1 and Kα2).
Peak positions follow from Bragg's law for the DFT cell and can differ from measured ones.

Cell and atoms:
Cell lengths 4.2265, 4.2265, 6.7960 Å; angles 90.00, 90.00, 90.00 degrees
Fractional coordinates of all 6 atoms:
Sm 0.2500 0.2500 0.1790
Sm 0.7500 0.7500 0.8210
Si 0.2500 0.2500 0.6797
Si 0.7500 0.7500 0.3203
Ru 0.2500 0.7500 0.5000
Ru 0.7500 0.2500 0.5000

The 10 most intense peaks (2θ from 15° to 90°), low angle first:
2theta  d/Å  I (rel.)
24.81  3.589  90
32.74  2.736  92
33.85  2.648  67
39.79  2.265  27
40.18  2.244  100
42.79  2.113  71
50.09  1.821  28
55.64  1.652  32
59.85  1.545  33
76.61  1.244  29

***

2.
The following is a computed PXRD pattern of Mg2Pt. It was derived from a crystal structure in the Materials Project, relaxed with PBE, using Cu Kα (weighted mean of Kα1 and Kα2).
Peak positions follow from Bragg's law for the DFT cell and can differ from measured ones.

Cell and atoms:
Cell lengths 6.3858, 6.3858, 5.6875 Å; angles 90.00, 90.00, 90.00 degrees
Fractional coordinates of all 12 atoms:
Mg 0.1847 0.3153 0.0000
Mg 0.1847 0.6847 0.5000
Mg 0.3153 0.1847 0.5000
Mg 0.3153 0.8153 0.0000
Mg 0.6847 0.1847 0.0000
Mg 0.6847 0.8153 0.5000
Mg 0.8153 0.3153 0.5000
Mg 0.8153 0.6847 0.0000
Pt 0.0000 0.0000 0.2500
Pt 0.0000 0.0000 0.7500
Pt 0.5000 0.5000 0.2500
Pt 0.5000 0.5000 0.7500

The 10 most intense peaks (2θ from 15° to 90°), low angle first:
2theta  d/Å  I (rel.)
19.66  4.515  100
27.94  3.193  31
37.37  2.406  48
39.93  2.258  23
42.57  2.124  43
44.89  2.019  32
51.70  1.768  14
55.84  1.646  23
74.33  1.276  12
83.07  1.163  11

***

3.
The following is a computed PXRD pattern of AlCrNi2. It was derived from a crystal structure in the Materials Project, relaxed with PBE, using Cu Kα (weighted mean of Kα1 and Kα2).
Peak positions follow from Bragg's law for the DFT cell and can differ from measured ones.

Cell and atoms:
Cell lengths 5.7875, 5.7875, 5.7875 Å; angles 90.00, 90.00, 90.00 degrees
Fractional coordinates of all 16 atoms:
Al 0.0000 0.0000 0.0000
Al 0.0000 0.5000 0.5000
Al 0.5000 0.0000 0.5000
Al 0.5000 0.5000 0.0000
Cr 0.0000 0.0000 0.5000
Cr 0.0000 0.5000 0.0000
Cr 0.5000 0.0000 0.0000
Cr 0.5000 0.5000 0.5000
Ni 0.2500 0.2500 0.2500
Ni 0.2500 0.2500 0.7500
Ni 0.2500 0.7500 0.2500
Ni 0.2500 0.7500 0.7500
Ni 0.7500 0.2500 0.2500
Ni 0.7500 0.2500 0.7500
Ni 0.7500 0.7500 0.2500
Ni 0.7500 0.7500 0.7500

The 9 most intense peaks (2θ from 15° to 90°), low angle first:
2theta  d/Å  I (rel.)
26.68  3.341  5
30.90  2.894  8
44.27  2.046  100
52.44  1.745  2
54.96  1.671  2
64.39  1.447  15
70.99  1.328  1
73.13  1.294  2
81.47  1.181  29

***

4.
The following is a computed PXRD pattern of Cu3W. It was derived from a crystal structure in the Materials Project, relaxed with PBE, using Cu Kα (weighted mean of Kα1 and Kα2).
Peak positions follow from Bragg's law for the DFT cell and can differ from measured ones.

Cell and atoms:
Cell lengths 5.9158, 5.9158, 5.9158 Å; angles 90.00, 90.00, 90.00 degrees
Fractional coordinates of all 16 atoms:
Cu 0.0000 0.0000 0.0000
Cu 0.0000 0.5000 0.5000
Cu 0.2500 0.2500 0.2500
Cu 0.2500 0.2500 0.7500
Cu 0.2500 0.7500 0.2500
Cu 0.2500 0.7500 0.7500
Cu 0.5000 0.0000 0.5000
Cu 0.5000 0.5000 0.0000
Cu 0.7500 0.2500 0.2500
Cu 0.7500 0.2500 0.7500
Cu 0.7500 0.7500 0.2500
Cu 0.7500 0.7500 0.7500
W 0.0000 0.0000 0.5000
W 0.0000 0.5000 0.0000
W 0.5000 0.0000 0.0000
W 0.5000 0.5000 0.5000

The 10 most intense peaks (2θ from 15° to 90°), low angle first:
2theta  d/Å  I (rel.)
26.09  3.415  21
30.22  2.958  11
43.26  2.092  100
51.22  1.784  11
53.67  1.708  3
62.83  1.479  16
69.23  1.357  5
71.29  1.323  4
79.35  1.208  32
85.24  1.138  4

***

5.
The following is a computed PXRD pattern of CoMoP. It was derived from a crystal structure in the Materials Project, relaxed with PBE, using Cu Kα (weighted mean of Kα1 and Kα2).
Peak positions follow from Bragg's law for the DFT cell and can differ from measured ones.

Cell and atoms:
Cell lengths 5.8085, 3.7448, 6.7393 Å; angles 90.00, 90.00, 90.00 degrees
Fractional coordinates of all 12 atoms:
Co 0.1403 0.2500 0.0672
Co 0.3597 0.7500 0.5672
Co 0.6403 0.2500 0.4328
Co 0.8597 0.7500 0.9328
Mo 0.0321 0.2500 0.6701
Mo 0.4679 0.7500 0.1701
Mo 0.5321 0.2500 0.8299
Mo 0.9679 0.7500 0.3299
P 0.2338 0.7500 0.8806
P 0.2662 0.2500 0.3806
P 0.7338 0.7500 0.6194
P 0.7662 0.2500 0.1194

The 10 most intense peaks (2θ from 15° to 90°), low angle first:
2theta  d/Å  I (rel.)
27.24  3.273  12
39.19  2.299  100
41.57  2.172  53
43.18  2.095  24
47.18  1.926  13
48.63  1.872  27
48.95  1.861  13
67.03  1.396  13
79.66  1.204  11
84.43  1.147  11

***

6.
The following is a computed PXRD pattern of NdAs3. It was derived from a crystal structure in the Materials Project, relaxed with PBE, using Cu Kα (weighted mean of Kα1 and Kα2).
Peak positions follow from Bragg's law for the DFT cell and can differ from measured ones.

Cell and atoms:
Cell lengths 4.1888, 4.1888, 10.0770 Å; angles 90.00, 90.00, 90.00 degrees
Fractional coordinates of all 8 atoms:
Nd 0.0000 0.0000 0.0000
Nd 0.5000 0.5000 0.5000
As 0.0000 0.0000 0.5000
As 0.0000 0.5000 0.2500
As 0.0000 0.5000 0.7500
As 0.5000 0.0000 0.2500
As 0.5000 0.0000 0.7500
As 0.5000 0.5000 0.0000

The 10 most intense peaks (2θ from 15° to 90°), low angle first:
2theta  d/Å  I (rel.)
17.60  5.039  4
22.99  3.868  9
35.15  2.553  100
35.64  2.519  24
43.20  2.094  28
57.20  1.611  24
62.74  1.481  9
63.70  1.461  17
73.99  1.281  22
74.29  1.277  11

***

7.
The following is a computed PXRD pattern of MnFe3P2. It was derived from a crystal structure in the Materials Project, relaxed with PBE, using Cu Kα (weighted mean of Kα1 and Kα2).
Peak positions follow from Bragg's law for the DFT cell and can differ from measured ones.

Cell and atoms:
Cell lengths 5.9000, 3.3855, 10.2532 Å; angles 90.00, 90.15, 90.00 degrees
Fractional coordinates of all 18 atoms:
Mn 0.0000 0.0000 0.0000
Mn 0.1125 0.0000 0.7032
Mn 0.6111 0.0000 0.2057
Fe 0.3300 0.5000 0.0785
Fe 0.3311 0.5000 0.3333
Fe 0.4494 0.5000 0.7040
Fe 0.4984 0.0000 0.9085
Fe 0.4999 0.0000 0.5010
Fe 0.8292 0.5000 0.8312
Fe 0.8304 0.5000 0.5775
Fe 0.9493 0.5000 0.2064
Fe 0.9987 0.0000 0.4101
P 0.1980 0.0000 0.2115
P 0.2051 0.5000 0.5374
P 0.2052 0.5000 0.8694
P 0.6973 0.0000 0.7037
P 0.7044 0.5000 0.3725
P 0.7050 0.5000 0.0378

The 10 most intense peaks (2θ from 15° to 90°), low angle first:
2theta  d/Å  I (rel.)
40.52  2.226  100
44.34  2.043  44
44.43  2.039  22
46.90  1.937  24
47.04  1.932  23
53.67  1.708  13
54.18  1.693  22
54.58  1.681  8
74.43  1.275  11
74.53  1.273  10

***

8.
The following is a computed PXRD pattern of Ba3In3N5. It was derived from a crystal structure in the Materials Project, relaxed with PBE, using Cu Kα (weighted mean of Kα1 and Kα2).
Peak positions follow from Bragg's law for the DFT cell and can differ from measured ones.

Cell and atoms:
Cell lengths 6.6261, 7.8727, 9.5956 Å; angles 108.07, 104.14, 95.05 degrees
Fractional coordinates of all 22 atoms:
Ba 0.1575 0.1478 0.1994
Ba 0.1624 0.3631 0.8739
Ba 0.3115 0.9135 0.6076
Ba 0.6885 0.0865 0.3924
Ba 0.8376 0.6369 0.1261
Ba 0.8425 0.8522 0.8006
In 0.2164 0.4526 0.5628
In 0.3682 0.6276 0.2819
In 0.4056 0.8108 0.9696
In 0.5944 0.1892 0.0304
In 0.6318 0.3724 0.7181
In 0.7836 0.5474 0.4372
N 0.1022 0.5623 0.3800
N 0.2176 0.7192 0.0974
N 0.2623 0.0304 0.9017
N 0.3538 0.2036 0.5174
N 0.4673 0.6088 0.7748
N 0.5327 0.3912 0.2252
N 0.6462 0.7964 0.4826
N 0.7377 0.9696 0.0983
N 0.7824 0.2808 0.9026
N 0.8978 0.4377 0.6200

The 10 most intense peaks (2θ from 15° to 90°), low angle first:
2theta  d/Å  I (rel.)
26.38  3.378  35
28.23  3.162  16
28.65  3.115  100
29.10  3.069  27
29.37  3.041  75
29.86  2.992  78
32.75  2.734  21
35.08  2.558  27
37.87  2.376  25
44.81  2.022  15

***

9.
The following is a computed PXRD pattern of Ho4CdSe7. It was derived from a crystal structure in the Materials Project, relaxed with PBE, using Cu Kα (weighted mean of Kα1 and Kα2).
Peak positions follow from Bragg's law for the DFT cell and can differ from measured ones.

Cell and atoms:
Cell lengths 6.9353, 6.9353, 12.1326 Å; angles 104.30, 104.30, 33.41 degrees
Fractional coordinates of all 12 atoms:
Ho 0.0000 0.0000 0.0000
Ho 0.3877 0.3877 0.6053
Ho 0.5790 0.5790 0.3727
Ho 0.6942 0.6942 0.8037
Cd 0.8102 0.8102 0.2231
Se 0.0338 0.0338 0.7503
Se 0.1943 0.1943 0.3037
Se 0.3545 0.3545 0.8502
Se 0.4363 0.4363 0.1522
Se 0.6562 0.6562 0.0194
Se 0.7324 0.7324 0.5865
Se 0.9521 0.9521 0.4485

The 10 most intense peaks (2θ from 15° to 90°), low angle first:
2theta  d/Å  I (rel.)
23.04  3.860  80
23.39  3.803  88
30.25  2.955  76
30.65  2.917  52
31.77  2.816  91
32.92  2.721  74
35.00  2.563  36
37.26  2.413  44
40.24  2.241  52
45.54  1.992  100

***

10.
The following is a computed PXRD pattern of K2PO3F. It was derived from a crystal structure in the Materials Project, relaxed with PBE, using Cu Kα (weighted mean of Kα1 and Kα2).
Peak positions follow from Bragg's law for the DFT cell and can differ from measured ones.

Cell and atoms:
Cell lengths 7.7569, 6.0613, 10.2390 Å; angles 90.00, 90.00, 90.00 degrees
Fractional coordinates of all 28 atoms:
K 0.0130 0.2500 0.2245
K 0.1812 0.2500 0.5701
K 0.3188 0.7500 0.0701
K 0.4870 0.7500 0.7245
K 0.5130 0.2500 0.2755
K 0.6812 0.2500 0.9299
K 0.8188 0.7500 0.4299
K 0.9870 0.7500 0.7755
P 0.2391 0.2500 0.9066
P 0.2609 0.7500 0.4066
P 0.7391 0.2500 0.5934
P 0.7609 0.7500 0.0934
O 0.1669 0.7500 0.5374
O 0.2447 0.5379 0.3281
O 0.2447 0.9621 0.3281
O 0.2553 0.0379 0.8281
O 0.2553 0.4621 0.8281
O 0.3331 0.2500 0.0374
O 0.6669 0.7500 0.9626
O 0.7447 0.5379 0.1719
O 0.7447 0.9621 0.1719
O 0.7553 0.0379 0.6719
O 0.7553 0.4621 0.6719
O 0.8331 0.2500 0.4626
F 0.0311 0.2500 0.9506
F 0.4689 0.7500 0.4506
F 0.5311 0.2500 0.5494
F 0.9689 0.7500 0.0494

The 10 most intense peaks (2θ from 15° to 90°), low angle first:
2theta  d/Å  I (rel.)
22.93  3.878  15
28.68  3.112  85
29.47  3.031  62
30.05  2.974  100
35.02  2.562  16
35.82  2.507  24
41.74  2.164  34
47.04  1.932  18
52.65  1.739  19
62.46  1.487  15